# Sm12Er5Pu
Calculated X-ray diffraction stick pattern, Cu Kα, 1.54184 Å. Input: the GGA-PBE geometry in Alexandria.

Structural model:
abc: 18.583 10.746 6.200
angles: 90.00 109.12 90.00
Space group C2/m (No. 12)
Inequivalent atoms, fractional coordinates:
Sm (0.000, 0.164, 0.000) (multiplicity 4)
Sm (0.000, 0.332, 0.500) (multiplicity 4)
Sm (0.166, 0.164, 0.500) (multiplicity 8)
Sm (0.167, 0.334, 0.000) (multiplicity 8)
Er (0.000, 0.500, 0.000) (multiplicity 2)
Er (0.166, 0.000, 0.996) (multiplicity 4)
Er (0.167, 0.500, 0.502) (multiplicity 4)
Pu (0.000, 0.000, 0.500) (multiplicity 2)

Principal peaks in the range 15 to 90 degrees two-theta, sorted by position:
| 2θ/deg | I (rel.) |
| --- | --- |
| 30.57 | 100 |
| 35.38 | 34 |
| 35.56 | 17 |
| 51.03 | 30 |
| 60.49 | 14 |
| 60.61 | 14 |
| 60.80 | 11 |
| 63.56 | 6 |
| 63.71 | 6 |
| 83.13 | 9 |